This entry pairs a crystal structure of Ti3V2Ni8 with its simulated powder X-ray diffraction pattern. Radiation: Cu Kα. Structure: a GGA-PBE-relaxed structure.
Lines closer than 0.1° are merged.

Largest 8 diffraction maxima, in order of rising 2θ, 2θ from 10° to 90°:
- d 4.578, rel. 443
- d 2.324, rel. 326
- d 2.122, rel. 927
- d 2.072, rel. 296
- d 1.991, rel. 1000
- d 1.931, rel. 504
- d 1.299, rel. 320
- d 1.162, rel. 298

Cell and atoms:
```
Ti3V2Ni8
1.0
2.324 1.342 9.155
-2.324 1.342 9.155
0.000 -2.683 9.155
Ti V Ni
3 2 8
Direct
0.000 0.000 0.000
0.190 0.190 0.190
0.810 0.810 0.810
0.363 0.363 0.363
0.637 0.637 0.637
0.226 0.734 0.734
0.266 0.266 0.774
0.266 0.774 0.266
0.280 0.280 0.280
0.720 0.720 0.720
0.734 0.226 0.734
0.734 0.734 0.226
0.774 0.266 0.266
```

---

This entry pairs a crystal structure of Sm2Fe17C2 with its simulated powder X-ray diffraction pattern. Radiation: Cu Kα. Structure: a GGA-PBE-relaxed structure.
Lines closer than 0.1° are merged.

Largest 8 diffraction maxima, in order of rising 2θ, 2θ from 10° to 90°:
- d 2.993, rel. 479
- d 2.506, rel. 474
- d 2.394, rel. 241
- d 2.170, rel. 884
- d 2.144, rel. 1000
- d 2.138, rel. 181
- d 2.094, rel. 248
- d 2.067, rel. 394

Cell and atoms:
```
Sm2Fe17C2
1.0
4.826 -4.346 0.000
4.826 4.346 0.000
-0.950 0.000 6.429
Sm Fe C
2 17 2
Direct
0.151 0.151 0.334
0.849 0.849 0.666
0.000 0.500 0.000
0.156 0.156 0.856
0.157 0.646 0.341
0.215 0.497 0.714
0.220 0.780 0.000
0.354 0.843 0.659
0.403 0.403 0.095
0.497 0.215 0.714
0.500 0.000 0.000
0.500 0.500 0.500
0.503 0.785 0.286
0.597 0.597 0.905
0.646 0.157 0.341
0.780 0.220 0.000
0.785 0.503 0.286
0.843 0.354 0.659
0.844 0.844 0.144
0.000 0.500 0.500
0.500 0.000 0.500
```

---

This entry pairs a crystal structure of Ba2TeRuN with its simulated powder X-ray diffraction pattern. Radiation: Cu Kα. Structure: a GGA-PBE-relaxed structure.
Lines closer than 0.1° are merged.

Largest 8 diffraction maxima, in order of rising 2θ, 2θ from 10° to 90°:
- d 2.997, rel. 643
- d 2.851, rel. 1000
- d 2.119, rel. 237
- d 1.701, rel. 430
- d 1.621, rel. 201
- d 1.426, rel. 130
- d 1.124, rel. 115
- d 1.100, rel. 117

Cell and atoms:
```
Ba2TeRuN
1.0
5.993 0.000 0.000
0.000 5.993 0.000
0.000 0.000 3.853
Ba Te Ru N
2 1 1 1
Direct
0.000 0.500 0.000
0.500 0.000 0.000
0.000 0.000 0.500
0.500 0.500 0.500
0.500 0.500 0.000
```